Te7As5I: theoretical X-ray powder pattern (CuKα), based on a GGA-PBE-relaxed structure.

a b c (Å): 6.8226 7.4305 8.5145
angles (deg): 105.00 101.53 91.13
Space group P1 (No. 1)
One atom of each set of equivalent atoms:
1 Te 0.0000 0.0000 0.0000 [1 per cell]
2 Te 0.0314 0.3204 0.3840 [1 per cell]
3 Te 0.2461 0.6841 0.1357 [1 per cell]
4 Te 0.4648 0.3945 0.2682 [1 per cell]
5 Te 0.5506 0.6114 0.7423 [1 per cell]
6 Te 0.7029 0.0947 0.4188 [1 per cell]
7 Te 0.7549 0.3262 0.8839 [1 per cell]
8 As 0.1566 0.5058 0.8080 [1 per cell]
9 As 0.4014 0.1404 0.9642 [1 per cell]
10 As 0.6063 0.8934 0.0809 [1 per cell]
11 As 0.8354 0.5380 0.2071 [1 per cell]
12 As 0.9510 0.7426 0.7085 [1 per cell]
13 I 0.3132 0.9470 0.5695 [1 per cell]

Most intense lines, 10° ≤ 2θ ≤ 80°, most intense first:
2θ (°), d_spacing, intensity
29.1, 3.069, 100.0
28.2, 3.160, 93.7
28.1, 3.178, 85.4
37.5, 2.398, 35.5
43.5, 2.082, 32.9
38.4, 2.345, 31.6